Simulated powder diffraction line list of ErAl8Fe4 for λ = 1.5418 Å (Cu Kα), from DFT lattice parameters and positions (PBE).
Lines closer than 0.1° are merged.

Structure:
a = 6.6284 Å, b = 6.6284 Å, c = 6.6284 Å
α = 98.24°, β = 98.24°, γ = 135.52°
Sites, in units of the cell vectors:
Er 0.0000 0.0000 0.0000
Al 0.0000 0.3398 0.3398
Al 0.0000 0.6602 0.6602
Al 0.2799 0.5000 0.7799
Al 0.3398 0.0000 0.3398
Al 0.5000 0.2799 0.7799
Al 0.5000 0.7201 0.2201
Al 0.6602 0.0000 0.6602
Al 0.7201 0.5000 0.2201
Fe 0.0000 0.0000 0.5000
Fe 0.0000 0.5000 0.0000
Fe 0.5000 0.0000 0.0000
Fe 0.5000 0.5000 0.5000

Peak list (8 most intense, 10° ≤ 2θ ≤ 80°, low angle first)
- d = 6.135 Å, 14.44°, rel. 22
- d = 4.343 Å, 20.45°, rel. 22
- d = 3.069 Å, 29.10°, rel. 44
- d = 2.506 Å, 35.83°, rel. 22
- d = 2.170 Å, 41.61°, rel. 100
- d = 1.535 Å, 60.31°, rel. 26
- d = 1.373 Å, 68.34°, rel. 17
- d = 1.253 Å, 75.96°, rel. 17

Simulated powder diffraction line list of ZrPd for λ = 1.5418 Å (Cu Kα), from DFT lattice parameters and positions (PBE).
Lines closer than 0.1° are merged.

Structure:
a = 3.3600 Å, b = 3.3600 Å, c = 3.3600 Å
α = 90.00°, β = 90.00°, γ = 90.00°
Sites, in units of the cell vectors:
Zr 0.0000 0.0000 0.0000
Pd 0.5000 0.5000 0.5000

Peak list (4 most intense, 10° ≤ 2θ ≤ 80°, low angle first)
- d = 3.360 Å, 26.53°, rel. 1
- d = 2.376 Å, 37.87°, rel. 100
- d = 1.680 Å, 54.63°, rel. 17
- d = 1.372 Å, 68.39°, rel. 34

Simulated powder diffraction line list of La3Mg2MoS8 for λ = 1.5418 Å (Cu Kα), from DFT lattice parameters and positions (PBE).
Lines closer than 0.1° are merged.

Structure:
a = 7.9175 Å, b = 7.9175 Å, c = 7.9175 Å
α = 61.77°, β = 61.77°, γ = 61.77°
Sites, in units of the cell vectors:
La 0.0000 0.5000 0.5000
La 0.5000 0.0000 0.5000
La 0.5000 0.5000 0.0000
Mg 0.1256 0.1256 0.1256
Mg 0.8744 0.8744 0.8744
Mo 0.5000 0.5000 0.5000
S 0.2519 0.2519 0.2519
S 0.2629 0.7300 0.7300
S 0.2700 0.2700 0.7371
S 0.2700 0.7371 0.2700
S 0.7300 0.2629 0.7300
S 0.7300 0.7300 0.2629
S 0.7371 0.2700 0.2700
S 0.7481 0.7481 0.7481

Peak list (8 most intense, 10° ≤ 2θ ≤ 80°, low angle first)
- d = 6.606 Å, 13.40°, rel. 75
- d = 6.377 Å, 13.89°, rel. 26
- d = 3.462 Å, 25.74°, rel. 42
- d = 3.427 Å, 26.00°, rel. 43
- d = 3.362 Å, 26.52°, rel. 23
- d = 2.835 Å, 31.56°, rel. 100
- d = 2.032 Å, 44.59°, rel. 48
- d = 1.978 Å, 45.88°, rel. 43